Simulated X-ray diffraction stick pattern of LaLuTl2 for λ = 1.5418 Å (Cu Kα), from a DFT-relaxed cell (GGA-PBE, the Materials Project).
Intensities are scaled so that the largest is 100.

The 10 most intense peaks (10 to 90 degrees two-theta), in order of falling intensity:
2theta	I (rel.)
32.8	100
58.5	39
47.0	19
78.2	17
68.7	12
87.4	4
23.0	2
53.0	1
40.4	1
19.9	1

Crystal structure
```
LaLuTl2
1.0
0.000 3.866 3.866
3.866 0.000 3.866
3.866 3.866 0.000
La Lu Tl
1 1 2
Direct
0.000 0.000 0.000
0.500 0.500 0.500
0.250 0.250 0.250
0.750 0.750 0.750
```

Simulated X-ray diffraction stick pattern of PaBO3 for λ = 1.5418 Å (Cu Kα), from a DFT-relaxed cell (GGA-PBE, the Materials Project).
Intensities are scaled so that the largest is 100.

The 10 most intense peaks (10 to 90 degrees two-theta), in order of falling intensity:
2theta	I (rel.)
24.6	100
35.1	98
43.3	55
56.9	46
62.9	39
50.4	29
79.4	23
89.9	20
84.7	18
74.1	18

Crystal structure
```
PaBO3
1.0
3.619 0.000 0.000
0.000 3.619 0.000
0.000 0.000 3.619
Pa B O
1 1 3
Direct
0.000 0.000 0.000
0.500 0.500 0.500
0.000 0.500 0.500
0.500 0.000 0.500
0.500 0.500 0.000
```